# BaLa2Ti3O10
Simulated powder diffractogram, Cu Kα X-rays. Input: a structure optimized by DFT (PBE).

Largest 10 diffraction maxima, in order of rising 2θ, 10 to 80 degrees two-theta:
2θ = 18.46°, I = 36.9; 2θ = 29.63°, I = 100.0; 2θ = 31.45°, I = 75.4; 2θ = 32.61°, I = 76.7; 2θ = 39.31°, I = 62.1; 2θ = 46.18°, I = 33.2; 2θ = 46.97°, I = 40.6; 2θ = 52.97°, I = 48.4; 2θ = 55.83°, I = 33.0; 2θ = 57.61°, I = 28.9

```
BaLa2Ti3O10
1.0
7.7410 0.0000 0.0000
0.0000 14.4204 1.9658
0.0000 -14.4204 1.9658
Ba La Ti O
2 4 6 20
direct
0.2500 0.2339 0.7661
0.7500 0.7661 0.2339
0.2500 0.0843 0.9358
0.2500 0.9328 0.0856
0.7500 0.0856 0.9328
0.7500 0.9358 0.0843
0.9998 0.3550 0.6468
0.0000 0.5025 0.5025
0.0002 0.6468 0.3550
0.5002 0.3550 0.6468
0.5000 0.5025 0.5025
0.4998 0.6468 0.3550
0.0000 0.9836 0.9836
0.0040 0.1281 0.8636
0.0137 0.4164 0.5509
0.0248 0.7063 0.2916
0.2500 0.3610 0.6326
0.2500 0.4740 0.4653
0.2500 0.6261 0.3681
0.4752 0.7063 0.2916
0.4863 0.4164 0.5509
0.4960 0.1281 0.8636
0.5000 0.9836 0.9836
0.5040 0.8636 0.1281
0.5137 0.5509 0.4164
0.5248 0.2916 0.7063
0.7500 0.3681 0.6261
0.7500 0.4653 0.4740
0.7500 0.6326 0.3610
0.9752 0.2916 0.7063
0.9863 0.5509 0.4164
0.9960 0.8636 0.1281
```

***

# Ba2La4Ti5O18
Simulated powder diffractogram, Cu Kα X-rays. Input: a structure optimized by DFT (PBE).

Largest 10 diffraction maxima, in order of rising 2θ, 10 to 80 degrees two-theta:
2θ = 20.22°, I = 15.4; 2θ = 30.35°, I = 100.0; 2θ = 31.84°, I = 89.8; 2θ = 40.17°, I = 19.2; 2θ = 44.57°, I = 60.9; 2θ = 52.96°, I = 20.1; 2θ = 55.81°, I = 36.0; 2θ = 56.74°, I = 17.3; 2θ = 66.55°, I = 18.6; 2θ = 72.46°, I = 15.2

```
Ba2La4Ti5O18
1.0
2.8103 1.6225 13.5626
-2.8103 1.6225 13.5626
0.0000 -3.2450 13.5626
Ba La Ti O
2 4 5 18
direct
0.0000 0.0000 0.0000
0.4485 0.4485 0.4485
0.1771 0.1771 0.1771
0.2730 0.2730 0.2730
0.5487 0.5487 0.5487
0.7261 0.7261 0.7261
0.0872 0.0872 0.0872
0.3619 0.3619 0.3619
0.6380 0.6380 0.6380
0.8137 0.8137 0.8137
0.9124 0.9124 0.9124
0.0651 0.0651 0.5448
0.0651 0.5448 0.0651
0.1695 0.6685 0.6685
0.2232 0.2232 0.7215
0.2232 0.7215 0.2232
0.2829 0.7742 0.7742
0.4482 0.9421 0.9421
0.5017 0.5017 0.9984
0.5017 0.9984 0.5017
0.5448 0.0651 0.0651
0.6685 0.1695 0.6685
0.6685 0.6685 0.1695
0.7215 0.2232 0.2232
0.7742 0.2829 0.7742
0.7742 0.7742 0.2829
0.9421 0.4482 0.9421
0.9421 0.9421 0.4482
0.9984 0.5017 0.5017
```

***

# BaLa2Ti3O10
Simulated powder diffractogram, Cu Kα X-rays. Input: a structure optimized by DFT (PBE).

Largest 10 diffraction maxima, in order of rising 2θ, 10 to 80 degrees two-theta:
2θ = 18.30°, I = 38.9; 2θ = 29.52°, I = 100.0; 2θ = 31.37°, I = 77.9; 2θ = 32.65°, I = 77.8; 2θ = 39.24°, I = 59.3; 2θ = 46.33°, I = 33.6; 2θ = 46.93°, I = 31.7; 2θ = 52.70°, I = 48.1; 2θ = 55.90°, I = 32.8; 2θ = 57.54°, I = 28.6

```
BaLa2Ti3O10
1.0
1.9596 -14.5455 0.0000
1.9596 14.5455 0.0000
0.0000 0.0000 7.7450
Ba La Ti O
2 4 6 20
direct
0.2341 0.7659 0.5000
0.7659 0.2341 0.0000
0.0736 0.9264 0.4986
0.0746 0.9254 0.9987
0.9254 0.0746 0.4987
0.9264 0.0736 0.9986
0.3554 0.6446 0.2505
0.3553 0.6447 0.7494
0.5000 0.5000 0.2498
0.5000 0.5000 0.7498
0.6447 0.3553 0.2494
0.6446 0.3554 0.7505
0.0000 0.0000 0.2576
0.0000 0.0000 0.7576
0.1305 0.8695 0.2522
0.1303 0.8697 0.7464
0.2942 0.7058 0.2292
0.2940 0.7060 0.7718
0.3669 0.6331 0.4991
0.3717 0.6283 0.9988
0.4335 0.5665 0.2592
0.4335 0.5665 0.7372
0.4966 0.5034 0.0017
0.5034 0.4966 0.5017
0.5665 0.4335 0.2372
0.5665 0.4335 0.7592
0.6283 0.3717 0.4988
0.6331 0.3669 0.9991
0.7060 0.2940 0.2718
0.7058 0.2942 0.7292
0.8697 0.1303 0.2464
0.8695 0.1305 0.7522
```

***

# BaLa2ZnO5
Simulated powder diffractogram, Cu Kα X-rays. Input: a structure optimized by DFT (PBE).

Largest 10 diffraction maxima, in order of rising 2θ, 10 to 80 degrees two-theta:
2θ = 29.75°, I = 42.3; 2θ = 29.90°, I = 100.0; 2θ = 30.47°, I = 35.5; 2θ = 36.60°, I = 24.9; 2θ = 36.96°, I = 51.8; 2θ = 41.10°, I = 18.5; 2θ = 48.34°, I = 21.0; 2θ = 48.62°, I = 20.3; 2θ = 53.79°, I = 19.9; 2θ = 55.11°, I = 23.9

```
BaLa2ZnO5
1.0
-3.4726 3.4726 5.8675
3.4726 -3.4726 5.8675
3.4726 3.4726 -5.8675
Ba La Zn O
2 4 2 10
direct
0.2500 0.2500 0.0000
0.7500 0.7500 0.0000
0.1764 0.6764 0.8528
0.3236 0.1764 0.5000
0.6764 0.8236 0.5000
0.8236 0.3236 0.1472
0.2500 0.7500 0.5000
0.7500 0.2500 0.5000
0.0000 0.0000 0.0000
0.0130 0.2214 0.5000
0.2214 0.7214 0.2084
0.2786 0.4870 0.5000
0.4870 0.9870 0.2084
0.5000 0.5000 0.0000
0.5130 0.0130 0.7916
0.7214 0.5130 0.5000
0.7786 0.2786 0.7916
0.9870 0.7786 0.5000
```

***

# BaLa2Si2S8
Simulated powder diffractogram, Cu Kα X-rays. Input: a structure optimized by DFT (PBE).

Largest 10 diffraction maxima, in order of rising 2θ, 10 to 80 degrees two-theta:
2θ = 19.38°, I = 21.7; 2θ = 21.38°, I = 100.0; 2θ = 21.69°, I = 49.4; 2θ = 33.39°, I = 38.9; 2θ = 33.68°, I = 20.5; 2θ = 34.92°, I = 26.8; 2θ = 35.13°, I = 26.3; 2θ = 35.53°, I = 27.4; 2θ = 38.70°, I = 23.1; 2θ = 53.32°, I = 19.5

```
BaLa2Si2S8
1.0
7.9853 -4.6618 0.0000
7.9853 4.6618 0.0000
-5.1310 0.0000 9.1607
Ba La Si S
2 4 4 16
direct
0.0868 0.9132 0.5000
0.9132 0.0868 0.0000
0.2256 0.4162 0.9972
0.4162 0.2256 0.4972
0.6044 0.7235 0.9960
0.7235 0.6044 0.4960
0.0085 0.4995 0.2687
0.3395 0.8204 0.2286
0.4995 0.0085 0.7687
0.8204 0.3395 0.7286
0.0492 0.1497 0.8164
0.0800 0.5640 0.5022
0.1497 0.0492 0.3164
0.2255 0.2868 0.2019
0.2703 0.7292 0.9950
0.2868 0.2255 0.7019
0.3919 0.6119 0.3009
0.4576 0.7766 0.6950
0.5601 0.8850 0.3006
0.5640 0.0800 0.0022
0.6119 0.3919 0.8009
0.6923 0.9536 0.6743
0.7292 0.2703 0.4950
0.7766 0.4576 0.1950
0.8850 0.5601 0.8006
0.9536 0.6923 0.1743
```

***

# Ba5LaSi6
Simulated powder diffractogram, Cu Kα X-rays. Input: a structure optimized by DFT (PBE).

Largest 10 diffraction maxima, in order of rising 2θ, 10 to 80 degrees two-theta:
2θ = 19.51°, I = 28.4; 2θ = 25.09°, I = 23.1; 2θ = 25.34°, I = 49.2; 2θ = 25.86°, I = 27.5; 2θ = 27.47°, I = 100.0; 2θ = 31.35°, I = 69.1; 2θ = 32.05°, I = 23.5; 2θ = 32.59°, I = 38.3; 2θ = 36.79°, I = 42.4; 2θ = 45.20°, I = 20.7

```
Ba5LaSi6
1.0
17.3297 0.0000 0.0000
0.0000 4.8856 0.0000
0.0000 0.0000 17.9913
Ba La Si
20 4 24
direct
0.0296 0.2500 0.0931
0.0682 0.7500 0.6916
0.0772 0.7500 0.4349
0.1584 0.2500 0.8690
0.1786 0.2500 0.2687
0.3214 0.7500 0.7687
0.3416 0.7500 0.3690
0.4228 0.2500 0.9349
0.4318 0.2500 0.1916
0.4704 0.7500 0.5931
0.5296 0.2500 0.4069
0.5682 0.7500 0.8084
0.5772 0.7500 0.0651
0.6584 0.2500 0.6310
0.6786 0.2500 0.2313
0.8214 0.7500 0.7313
0.8416 0.7500 0.1310
0.9228 0.2500 0.5651
0.9318 0.2500 0.3084
0.9704 0.7500 0.9069
0.2483 0.2500 0.0670
0.2517 0.7500 0.5670
0.7483 0.2500 0.4330
0.7517 0.7500 0.9330
0.0463 0.7500 0.2248
0.1327 0.2500 0.5630
0.1453 0.7500 0.0046
0.1550 0.7500 0.1402
0.2102 0.2500 0.6770
0.2221 0.2500 0.4570
0.2779 0.7500 0.9570
0.2898 0.7500 0.1770
0.3450 0.2500 0.6402
0.3547 0.2500 0.5046
0.3673 0.7500 0.0630
0.4537 0.2500 0.7248
0.5463 0.7500 0.2752
0.6327 0.2500 0.9370
0.6453 0.7500 0.4954
0.6550 0.7500 0.3598
0.7102 0.2500 0.8230
0.7221 0.2500 0.0430
0.7779 0.7500 0.5430
0.7898 0.7500 0.3230
0.8450 0.2500 0.8598
0.8547 0.2500 0.9954
0.8673 0.7500 0.4370
0.9537 0.2500 0.7752
```